Theoretical PXRD pattern
Compound: Tm2Ta4PdSe12
Radiation: Cu Kα X-rays
Structure: a DFT-relaxed cell (GGA-PBE, OQMD)
Lines closer than 0.1° are merged.

Top 10 peaks for 2θ from 10° to 90°, low angle first:
two_theta, intensity
11.6, 100
12.4, 60
12.7, 84
30.4, 24
32.4, 48
34.2, 33
37.9, 27
38.6, 25
40.3, 27
50.1, 24

```
Tm2Ta4PdSe12
1.0
7.6405 -1.8199 0.0000
7.6405 1.8199 0.0000
-7.0525 0.0000 18.3577
Tm Ta Pd Se
2 4 1 12
Direct
0.0111 0.0111 0.2854 Tm
0.9890 0.9890 0.7146 Tm
0.3222 0.3222 0.5611 Ta
0.4897 0.4897 0.1319 Ta
0.5103 0.5103 0.8681 Ta
0.6778 0.6778 0.4389 Ta
0.0000 0.0000 0.0000 Pd
0.0471 0.0471 0.4284 Se
0.1099 0.1099 0.1279 Se
0.1242 0.1242 0.9476 Se
0.2933 0.2933 0.4249 Se
0.3587 0.3587 0.7205 Se
0.3792 0.3792 0.2042 Se
0.6208 0.6208 0.7958 Se
0.6413 0.6413 0.2795 Se
0.7067 0.7067 0.5751 Se
0.8758 0.8758 0.0524 Se
0.8901 0.8901 0.8721 Se
0.9529 0.9529 0.5716 Se
```